Record 1
For TiS2, a crystal structure in the Materials Project, relaxed with PBE gives the simulated X-ray diffraction stick pattern in this record (λ = 1.5418 Å (Cu Kα)).

Atomic structure:
a b c (Å): 3.417 3.417 6.419
angles (deg): 90.00 90.00 120.00
Fractional coordinates of all 3 atoms:
Ti (0.000, 0.000, 0.000)
S (0.333, 0.667, 0.221)
S (0.667, 0.333, 0.779)

Largest 12 diffraction maxima, in order of falling intensity, 2θ from 10° to 80°:
| d_spacing | 2θ (°) | I/Imax |
| --- | --- | --- |
| 6.419 | 13.80 | 100 |
| 2.687 | 33.34 | 86 |
| 2.176 | 41.51 | 59 |
| 1.734 | 52.80 | 27 |
| 1.708 | 53.64 | 25 |
| 1.651 | 55.67 | 12 |
| 1.344 | 70.02 | 11 |
| 1.442 | 64.65 | 10 |
| 1.217 | 78.61 | 8 |
| 1.605 | 57.42 | 5 |
| 1.411 | 66.25 | 4 |
| 1.284 | 73.81 | 2 |

Record 2
For K5Mo24S28, a crystal structure in the Materials Project, relaxed with PBE gives the simulated X-ray diffraction stick pattern in this record (λ = 1.5418 Å (Cu Kα)).

Atomic structure:
a b c (Å): 9.678 9.678 14.587
angles (deg): 90.00 90.00 120.00
Fractional coordinates of all 57 atoms:
K (0.000, 0.000, 0.000)
K (0.000, 0.000, 0.307)
K (0.000, 0.000, 0.693)
K (0.333, 0.667, 0.746)
K (0.667, 0.333, 0.254)
Mo (0.055, 0.602, 0.548)
Mo (0.105, 0.635, 0.948)
Mo (0.146, 0.630, 0.153)
Mo (0.205, 0.490, 0.315)
Mo (0.285, 0.795, 0.315)
Mo (0.365, 0.470, 0.948)
Mo (0.370, 0.516, 0.153)
Mo (0.398, 0.453, 0.548)
Mo (0.453, 0.055, 0.452)
Mo (0.470, 0.105, 0.052)
Mo (0.484, 0.854, 0.153)
Mo (0.490, 0.285, 0.685)
Mo (0.510, 0.715, 0.315)
Mo (0.516, 0.146, 0.847)
Mo (0.530, 0.895, 0.948)
Mo (0.547, 0.945, 0.548)
Mo (0.602, 0.547, 0.452)
Mo (0.630, 0.484, 0.847)
Mo (0.635, 0.530, 0.052)
Mo (0.715, 0.205, 0.685)
Mo (0.795, 0.510, 0.685)
Mo (0.854, 0.370, 0.847)
Mo (0.895, 0.365, 0.052)
Mo (0.945, 0.398, 0.452)
S (0.008, 0.578, 0.306)
S (0.069, 0.374, 0.936)
S (0.075, 0.346, 0.171)
S (0.141, 0.318, 0.445)
S (0.177, 0.859, 0.445)
S (0.272, 0.925, 0.171)
S (0.305, 0.931, 0.936)
S (0.318, 0.177, 0.555)
S (0.333, 0.667, 0.030)
S (0.333, 0.667, 0.544)
S (0.346, 0.272, 0.829)
S (0.374, 0.305, 0.064)
S (0.422, 0.431, 0.306)
S (0.431, 0.008, 0.694)
S (0.569, 0.992, 0.306)
S (0.578, 0.569, 0.694)
S (0.626, 0.695, 0.936)
S (0.654, 0.728, 0.171)
S (0.667, 0.333, 0.456)
S (0.667, 0.333, 0.970)
S (0.682, 0.823, 0.445)
S (0.695, 0.069, 0.064)
S (0.728, 0.075, 0.829)
S (0.823, 0.141, 0.555)
S (0.859, 0.682, 0.555)
S (0.925, 0.654, 0.829)
S (0.931, 0.626, 0.064)
S (0.992, 0.422, 0.694)

Largest 12 diffraction maxima, in order of falling intensity, 2θ from 10° to 80°:
| d_spacing | 2θ (°) | I/Imax |
| --- | --- | --- |
| 8.381 | 10.56 | 100 |
| 7.270 | 12.17 | 69 |
| 2.755 | 32.50 | 29 |
| 2.654 | 33.77 | 26 |
| 2.146 | 42.11 | 25 |
| 2.296 | 39.24 | 22 |
| 2.016 | 44.97 | 21 |
| 4.196 | 21.18 | 19 |
| 2.906 | 30.77 | 16 |
| 2.097 | 43.14 | 14 |
| 1.924 | 47.25 | 13 |
| 4.031 | 22.05 | 12 |

Record 3
For RbLaTa2O7, a crystal structure in the Materials Project, relaxed with PBE gives the simulated X-ray diffraction stick pattern in this record (λ = 1.5418 Å (Cu Kα)).

Atomic structure:
a b c (Å): 3.910 3.910 11.314
angles (deg): 90.00 90.00 90.00
Fractional coordinates of all 11 atoms:
Rb (0.000, 0.000, 0.000)
La (0.000, 0.000, 0.500)
Ta (0.500, 0.500, 0.296)
Ta (0.500, 0.500, 0.704)
O (0.000, 0.500, 0.334)
O (0.000, 0.500, 0.666)
O (0.500, 0.000, 0.334)
O (0.500, 0.000, 0.666)
O (0.500, 0.500, 0.137)
O (0.500, 0.500, 0.500)
O (0.500, 0.500, 0.863)

Largest 12 diffraction maxima, in order of falling intensity, 2θ from 10° to 80°:
| d_spacing | 2θ (°) | I/Imax |
| --- | --- | --- |
| 3.217 | 27.73 | 100 |
| 2.765 | 32.38 | 41 |
| 1.956 | 46.42 | 33 |
| 1.671 | 54.96 | 30 |
| 2.715 | 33.00 | 19 |
| 1.977 | 45.90 | 14 |
| 1.383 | 67.75 | 14 |
| 1.751 | 52.25 | 13 |
| 3.910 | 22.74 | 11 |
| 3.771 | 23.59 | 9 |
| 1.587 | 58.15 | 8 |
| 1.479 | 62.81 | 8 |

Record 4
For CeSe2, a crystal structure in the Materials Project, relaxed with PBE gives the simulated X-ray diffraction stick pattern in this record (λ = 1.5418 Å (Cu Kα)).

Atomic structure:
a b c (Å): 4.302 4.302 23.856
angles (deg): 90.00 90.00 120.00
Fractional coordinates of all 6 atoms:
Ce (0.000, 0.000, 0.000)
Ce (0.000, 0.000, 0.500)
Se (0.333, 0.667, 0.061)
Se (0.333, 0.667, 0.439)
Se (0.667, 0.333, 0.561)
Se (0.667, 0.333, 0.939)

Largest 12 diffraction maxima, in order of falling intensity, 2θ from 10° to 80°:
| d_spacing | 2θ (°) | I/Imax |
| --- | --- | --- |
| 2.719 | 32.95 | 100 |
| 2.117 | 42.72 | 86 |
| 2.328 | 38.68 | 84 |
| 3.374 | 26.42 | 77 |
| 3.160 | 28.24 | 75 |
| 5.964 | 14.85 | 68 |
| 2.151 | 42.01 | 62 |
| 2.936 | 30.44 | 58 |
| 2.009 | 45.13 | 46 |
| 3.556 | 25.04 | 36 |
| 2.023 | 44.79 | 25 |
| 1.580 | 58.41 | 25 |

Record 5
For Be2RuPt, a crystal structure in the Materials Project, relaxed with PBE gives the simulated X-ray diffraction stick pattern in this record (λ = 1.5418 Å (Cu Kα)).

Atomic structure:
a b c (Å): 5.627 5.627 5.627
angles (deg): 90.00 90.00 90.00
Fractional coordinates of all 16 atoms:
Be (0.250, 0.250, 0.250)
Be (0.250, 0.250, 0.750)
Be (0.250, 0.750, 0.250)
Be (0.250, 0.750, 0.750)
Be (0.750, 0.250, 0.250)
Be (0.750, 0.250, 0.750)
Be (0.750, 0.750, 0.250)
Be (0.750, 0.750, 0.750)
Ru (0.000, 0.000, 0.000)
Ru (0.000, 0.500, 0.500)
Ru (0.500, 0.000, 0.500)
Ru (0.500, 0.500, 0.000)
Pt (0.000, 0.000, 0.500)
Pt (0.000, 0.500, 0.000)
Pt (0.500, 0.000, 0.000)
Pt (0.500, 0.500, 0.500)

Largest 8 diffraction maxima, in order of falling intensity, 2θ from 10° to 80°:
| d_spacing | 2θ (°) | I/Imax |
| --- | --- | --- |
| 2.813 | 31.81 | 100 |
| 1.989 | 45.60 | 87 |
| 1.258 | 75.57 | 33 |
| 1.624 | 56.67 | 26 |
| 3.249 | 27.46 | 18 |
| 1.407 | 66.46 | 14 |
| 1.697 | 54.05 | 9 |
| 1.291 | 73.34 | 4 |

Record 6
For La3CI5, a crystal structure in the Materials Project, relaxed with PBE gives the simulated X-ray diffraction stick pattern in this record (λ = 1.5418 Å (Cu Kα)).

Atomic structure:
a b c (Å): 8.104 9.842 9.935
angles (deg): 107.52 97.36 105.23
Fractional coordinates of all 18 atoms:
La (0.028, 0.229, 0.422)
La (0.106, 0.539, 0.274)
La (0.378, 0.639, 0.684)
La (0.622, 0.361, 0.316)
La (0.894, 0.461, 0.726)
La (0.972, 0.771, 0.578)
C (0.087, 0.531, 0.542)
C (0.913, 0.469, 0.458)
I (0.090, 0.871, 0.318)
I (0.182, 0.228, 0.139)
I (0.260, 0.587, 0.966)
I (0.353, 0.966, 0.777)
I (0.455, 0.310, 0.592)
I (0.545, 0.690, 0.408)
I (0.647, 0.034, 0.223)
I (0.740, 0.413, 0.034)
I (0.818, 0.772, 0.861)
I (0.910, 0.129, 0.682)

Largest 12 diffraction maxima, in order of falling intensity, 2θ from 10° to 80°:
| d_spacing | 2θ (°) | I/Imax |
| --- | --- | --- |
| 3.271 | 27.26 | 100 |
| 3.160 | 28.24 | 83 |
| 3.120 | 28.61 | 79 |
| 2.236 | 40.33 | 56 |
| 2.220 | 40.63 | 33 |
| 2.297 | 39.23 | 32 |
| 2.310 | 38.99 | 31 |
| 2.206 | 40.92 | 26 |
| 3.658 | 24.34 | 17 |
| 1.636 | 56.24 | 15 |
| 1.806 | 50.53 | 14 |
| 1.830 | 49.83 | 14 |

Record 7
For Sm3Ag, a crystal structure in the Materials Project, relaxed with PBE gives the simulated X-ray diffraction stick pattern in this record (λ = 1.5418 Å (Cu Kα)).

Atomic structure:
a b c (Å): 4.722 4.722 10.317
angles (deg): 90.00 90.00 90.00
Fractional coordinates of all 8 atoms:
Sm (0.000, 0.000, 0.000)
Sm (0.000, 0.500, 0.250)
Sm (0.000, 0.500, 0.750)
Sm (0.500, 0.000, 0.250)
Sm (0.500, 0.000, 0.750)
Sm (0.500, 0.500, 0.500)
Ag (0.000, 0.000, 0.500)
Ag (0.500, 0.500, 0.000)

Largest 10 diffraction maxima, in order of falling intensity, 2θ from 10° to 80°:
| d_spacing | 2θ (°) | I/Imax |
| --- | --- | --- |
| 2.803 | 31.93 | 100 |
| 2.361 | 38.12 | 31 |
| 1.434 | 65.03 | 25 |
| 1.742 | 52.55 | 24 |
| 2.579 | 34.78 | 20 |
| 1.529 | 60.57 | 16 |
| 1.401 | 66.74 | 12 |
| 1.669 | 55.01 | 11 |
| 1.290 | 73.42 | 2 |
| 4.294 | 20.69 | 1 |

Record 8
For Tb6Ni2Sn, a crystal structure in the Materials Project, relaxed with PBE gives the simulated X-ray diffraction stick pattern in this record (λ = 1.5418 Å (Cu Kα)).

Atomic structure:
a b c (Å): 8.461 8.461 8.461
angles (deg): 111.95 109.15 107.35
Fractional coordinates of all 18 atoms:
Tb (0.029, 0.235, 0.794)
Tb (0.181, 0.286, 0.467)
Tb (0.181, 0.714, 0.895)
Tb (0.325, 0.014, 0.690)
Tb (0.325, 0.635, 0.310)
Tb (0.441, 0.235, 0.206)
Tb (0.559, 0.765, 0.794)
Tb (0.675, 0.365, 0.690)
Tb (0.675, 0.986, 0.310)
Tb (0.819, 0.286, 0.105)
Tb (0.819, 0.714, 0.533)
Tb (0.971, 0.765, 0.206)
Ni (0.122, 0.622, 0.500)
Ni (0.352, 0.000, 0.352)
Ni (0.648, 0.000, 0.648)
Ni (0.878, 0.378, 0.500)
Sn (0.000, 0.000, 0.000)
Sn (0.500, 0.500, 0.000)

Largest 12 diffraction maxima, in order of falling intensity, 2θ from 10° to 80°:
| d_spacing | 2θ (°) | I/Imax |
| --- | --- | --- |
| 2.817 | 31.76 | 100 |
| 2.630 | 34.09 | 89 |
| 2.598 | 34.52 | 37 |
| 3.005 | 29.73 | 30 |
| 1.558 | 59.33 | 27 |
| 2.566 | 34.97 | 20 |
| 2.367 | 38.01 | 20 |
| 3.108 | 28.72 | 18 |
| 3.163 | 28.21 | 16 |
| 2.506 | 35.83 | 15 |
| 1.666 | 55.13 | 15 |
| 2.294 | 39.27 | 15 |

Record 9
For Tm3Np, a crystal structure in the Materials Project, relaxed with PBE gives the simulated X-ray diffraction stick pattern in this record (λ = 1.5418 Å (Cu Kα)).

Atomic structure:
a b c (Å): 4.838 4.838 9.940
angles (deg): 90.00 90.00 90.00
Fractional coordinates of all 8 atoms:
Tm (0.000, 0.000, 0.000)
Tm (0.000, 0.500, 0.250)
Tm (0.000, 0.500, 0.750)
Tm (0.500, 0.000, 0.250)
Tm (0.500, 0.000, 0.750)
Tm (0.500, 0.500, 0.500)
Np (0.000, 0.000, 0.500)
Np (0.500, 0.500, 0.000)

Largest 12 diffraction maxima, in order of falling intensity, 2θ from 10° to 80°:
| d_spacing | 2θ (°) | I/Imax |
| --- | --- | --- |
| 2.818 | 31.76 | 100 |
| 2.419 | 37.17 | 33 |
| 1.462 | 63.64 | 28 |
| 1.733 | 52.82 | 24 |
| 2.485 | 36.14 | 18 |
| 1.491 | 62.27 | 15 |
| 1.409 | 66.35 | 12 |
| 1.710 | 53.58 | 12 |
| 1.209 | 79.20 | 4 |
| 1.243 | 76.69 | 2 |
| 4.350 | 20.42 | 2 |
| 2.114 | 42.78 | 1 |